CsFeSbF6: computed X-ray powder pattern (a wavelength of 1.5418 Å), based on a structure optimized by DFT (GGA+U).
Neutral-atom scattering factors, no anomalous dispersion.

Main lines, in order of rising 2θ (5° ≤ 2θ ≤ 70°):
| 2theta | intensity | hkl |
| --- | --- | --- |
| 14.23 | 53 | 0 0 1 |
| 21.78 | 100 | 0 1 -1 |
| 22.06 | 96 | 0 1 1 |
| 22.29 | 81 | 1 0 1 |
| 23.09 | 79 | 1 0 -1 |
| 23.21 | 97 | 1 1 1 |
| 23.73 | 81 | 1 1 -1 |
| 28.69 | 51 | 0 0 2 |
| 28.90 | 54 | 1 -1 0 |
| 30.75 | 47 | 1 2 0 |
| 32.43 | 59 | 2 1 0 |
| 40.55 | 55 | 1 -1 2 |

Structure:
```
CsFeSbF6
1.0
5.537 0.000 0.000
2.410 5.346 0.000
0.209 -0.078 6.223
Cs Fe Sb F
1 1 1 6
Cartesian
0.000 0.000 0.000
2.669 1.595 2.966
5.474 3.474 3.139
1.593 2.886 1.742
3.539 3.285 4.029
4.878 5.061 1.811
3.302 0.345 4.349
4.429 2.260 1.851
6.240 1.548 3.840
```